[1]
Computed powder diffractogram
Compound: Nd6AsCl8
Radiation: CuKα
Structure: a structure optimized by DFT (PBE)

Main lines, sorted by position (10 to 90 degrees two-theta):
2θ (°), I (rel.)
25.00, 15
26.52, 34
30.68, 100
36.65, 19
43.84, 31
44.03, 32
54.62, 19
72.66, 16

Crystal structure
```
15
Lattice="3.562 2.057 10.139 -3.562 2.057 10.139 0.000 -4.113 10.139" Properties=species:S:1:pos:R:3 pbc="T T T"
Nd -1.183 -2.065 11.723
Nd -2.380 -0.008 18.694
Nd -1.197 2.057 11.723
Nd 1.197 -2.057 18.694
Nd 2.380 0.008 11.723
Nd 1.183 2.065 18.694
As 0.000 0.000 0.000
Cl -2.390 0.028 13.391
Cl -1.219 -2.056 17.027
Cl 0.000 0.000 10.140
Cl 1.171 -2.084 13.391
Cl -1.171 2.084 17.027
Cl 0.000 0.000 20.277
Cl 1.219 2.056 13.391
Cl 2.390 -0.028 17.027
```

[2]
Computed powder diffractogram
Compound: Nd3AsPtCl
Radiation: CuKα
Structure: a structure optimized by DFT (PBE)

Main lines, sorted by position (10 to 90 degrees two-theta):
2θ (°), I (rel.)
29.17, 65
30.23, 59
30.51, 100
35.71, 37
38.31, 45
42.29, 28
43.49, 33
53.25, 35

Crystal structure
```
12
Lattice="8.556 0.000 0.000 0.000 4.161 0.000 -2.524 0.000 9.183" Properties=species:S:1:pos:R:3 pbc="T T T"
Nd -0.218 1.040 3.152
Nd 1.929 1.040 0.072
Nd 1.873 3.121 5.696
Nd 4.158 1.040 3.488
Nd 4.102 3.121 9.112
Nd 6.249 3.121 6.031
As 2.045 3.121 2.537
As 3.986 1.040 6.646
Pt -0.252 1.040 6.055
Pt 6.284 3.121 3.128
Cl 1.065 3.121 8.337
Cl 4.966 1.040 0.846
```

Which formula does entry 1 have? Nd6AsCl8